[1]
# BaNaSO4
Simulated powder X-ray diffraction pattern, CuKα. Input: a DFT-relaxed cell (GGA-PBE, Alexandria).
Lines closer than 0.1° are merged.

Crystal structure
Lattice parameters (Å, degrees): 5.909 5.909 5.909 60.00 60.00 60.00
Atoms (fractional coordinates):
1 Ba 0.000 0.000 0.000
2 Na 0.250 0.250 0.250
3 S 0.500 0.500 0.500
4 O 0.397 0.397 0.397
5 O 0.397 0.397 0.809
6 O 0.397 0.809 0.397
7 O 0.809 0.397 0.397

The 8 most intense peaks (2θ = 5–70°), sorted by position:
2θ (°)	I/Imax
18.39	30
21.27	83
30.25	100
35.64	44
37.28	23
48.74	21
53.74	35
57.29	19

***

[2]
# K3CuAu2I6
Simulated powder X-ray diffraction pattern, CuKα. Input: a DFT-relaxed cell (GGA-PBE, Alexandria).
Lines closer than 0.1° are merged.

Crystal structure
Lattice parameters (Å, degrees): 8.625 8.625 9.059 90.00 90.00 120.00
Atoms (fractional coordinates):
1 K 0.000 0.000 0.000
2 K 0.333 0.667 0.653
3 K 0.667 0.333 0.347
4 Cu 0.000 0.000 0.500
5 Au 0.333 0.667 0.288
6 Au 0.667 0.333 0.712
7 I 0.151 0.303 0.300
8 I 0.151 0.849 0.300
9 I 0.303 0.151 0.700
10 I 0.697 0.849 0.300
11 I 0.849 0.151 0.700
12 I 0.849 0.697 0.700

The 8 most intense peaks (2θ = 5–70°), sorted by position:
2θ (°)	I/Imax
9.76	39
15.38	100
19.60	40
23.83	23
31.04	43
33.24	53
37.53	27
41.90	35

***

[3]
# RbNd3Pu2Te6
Simulated powder X-ray diffraction pattern, CuKα. Input: a DFT-relaxed cell (GGA-PBE, Alexandria).
Lines closer than 0.1° are merged.

Crystal structure
Lattice parameters (Å, degrees): 10.224 10.224 9.266 103.39 103.39 25.45
Atoms (fractional coordinates):
1 Rb 0.000 0.000 0.000
2 Nd 0.000 0.000 0.500
3 Nd 0.337 0.337 0.171
4 Nd 0.663 0.663 0.829
5 Pu 0.331 0.331 0.664
6 Pu 0.669 0.669 0.336
7 Te 0.167 0.167 0.580
8 Te 0.174 0.174 0.089
9 Te 0.497 0.497 0.731
10 Te 0.503 0.503 0.269
11 Te 0.826 0.826 0.911
12 Te 0.833 0.833 0.420

The 8 most intense peaks (2θ = 5–70°), sorted by position:
2θ (°)	I/Imax
27.62	100
38.88	14
39.39	26
39.54	25
40.04	13
49.34	14
57.04	13
64.42	12

***

[4]
# Sc7In4Sn
Simulated powder X-ray diffraction pattern, CuKα. Input: a DFT-relaxed cell (GGA-PBE, Alexandria).
Lines closer than 0.1° are merged.

Crystal structure
Lattice parameters (Å, degrees): 7.271 7.271 10.631 124.32 124.32 43.61
Atoms (fractional coordinates):
1 Sc 0.000 0.000 0.000
2 Sc 0.154 0.154 0.584
3 Sc 0.288 0.288 0.130
4 Sc 0.429 0.429 0.680
5 Sc 0.571 0.571 0.320
6 Sc 0.712 0.712 0.870
7 Sc 0.846 0.846 0.416
8 In 0.067 0.067 0.775
9 In 0.209 0.209 0.341
10 In 0.791 0.791 0.659
11 In 0.933 0.933 0.225
12 Sn 0.500 0.500 0.000

The 8 most intense peaks (2θ = 5–70°), sorted by position:
2θ (°)	I/Imax
23.91	42
26.18	56
28.84	44
33.17	100
34.96	76
36.69	77
37.81	68
48.96	56

***

[5]
# Li4CdTe3
Simulated powder X-ray diffraction pattern, CuKα. Input: a DFT-relaxed cell (GGA-PBE, Alexandria).
Lines closer than 0.1° are merged.

Crystal structure
Lattice parameters (Å, degrees): 8.292 8.292 9.423 112.42 112.42 52.05
Atoms (fractional coordinates):
1 Li 0.149 0.851 0.500
2 Li 0.276 0.972 0.919
3 Li 0.363 0.786 0.222
4 Li 0.569 0.926 0.630
5 Li 0.786 0.363 0.722
6 Li 0.851 0.149 0.000
7 Li 0.926 0.569 0.130
8 Li 0.972 0.276 0.419
9 Cd 0.219 0.553 0.788
10 Cd 0.553 0.219 0.288
11 Te 0.199 0.212 0.727
12 Te 0.212 0.199 0.227
13 Te 0.562 0.573 0.471
14 Te 0.573 0.562 0.971
15 Te 0.914 0.934 0.694
16 Te 0.934 0.914 0.194

The 8 most intense peaks (2θ = 5–70°), sorted by position:
2θ (°)	I/Imax
19.33	35
22.59	100
23.25	64
24.46	32
25.80	25
35.85	44
42.34	43
44.35	26

***

[6]
# CaPr5Dy6
Simulated powder X-ray diffraction pattern, CuKα. Input: a DFT-relaxed cell (GGA-PBE, Alexandria).
Lines closer than 0.1° are merged.

Crystal structure
Lattice parameters (Å, degrees): 8.120 8.120 6.306 97.39 97.39 84.56
Atoms (fractional coordinates):
1 Ca 0.000 0.000 0.000
2 Pr 0.169 0.831 0.500
3 Pr 0.336 0.664 0.000
4 Pr 0.500 0.500 0.500
5 Pr 0.664 0.336 0.000
6 Pr 0.831 0.169 0.500
7 Dy 0.085 0.423 0.254
8 Dy 0.252 0.252 0.746
9 Dy 0.423 0.085 0.254
10 Dy 0.577 0.915 0.746
11 Dy 0.748 0.748 0.254
12 Dy 0.915 0.577 0.746

The 8 most intense peaks (2θ = 5–70°), sorted by position:
2θ (°)	I/Imax
30.07	100
30.21	33
34.90	67
50.10	24
50.28	24
59.59	33
59.69	14
62.51	12